This entry pairs a crystal structure of La4PrDy10 with its simulated powder X-ray diffraction pattern. Radiation: Cu Kα (weighted mean of Kα1 and Kα2). Structure: a DFT-relaxed cell (PBE, Alexandria).

Peak list (8 most intense, 10° ≤ 2θ ≤ 90°, sorted by position)
Position (°2θ)	I/Imax
26.3	83
28.7	78
28.9	100
32.2	81
33.4	81
34.2	42
41.7	33
44.8	35

Crystal structure
```
La4PrDy10
1.0
-4.878 4.878 5.413
4.878 -4.878 5.413
4.878 4.878 -5.413
La Pr Dy
4 1 10
Direct
0.064 0.334 0.398 La
0.334 0.936 0.271 La
0.666 0.064 0.729 La
0.936 0.666 0.602 La
0.000 0.000 0.000 Pr
0.133 0.458 0.908 Dy
0.226 0.133 0.676 Dy
0.250 0.750 0.500 Dy
0.450 0.774 0.908 Dy
0.458 0.550 0.324 Dy
0.542 0.450 0.676 Dy
0.550 0.226 0.092 Dy
0.750 0.250 0.500 Dy
0.774 0.867 0.324 Dy
0.867 0.542 0.092 Dy
```

This entry pairs a crystal structure of La2Pr3Dy5 with its simulated powder X-ray diffraction pattern. Radiation: Cu Kα (weighted mean of Kα1 and Kα2). Structure: a DFT-relaxed cell (PBE, Alexandria).

Peak list (8 most intense, 10° ≤ 2θ ≤ 90°, sorted by position)
Position (°2θ)	I/Imax
29.4	100
30.9	96
31.8	20
33.3	44
48.3	23
48.6	20
60.2	22
62.7	25

Crystal structure
```
La2Pr3Dy5
1.0
5.375 -8.452 0.000
5.375 8.452 0.000
-5.371 0.000 7.533
La Pr Dy
4 6 10
Direct
0.019 0.276 0.043 La
0.276 0.019 0.543 La
0.724 0.981 0.457 La
0.981 0.724 0.957 La
0.022 0.978 0.750 Pr
0.228 0.481 0.458 Pr
0.481 0.228 0.958 Pr
0.519 0.772 0.042 Pr
0.772 0.519 0.542 Pr
0.978 0.022 0.250 Pr
0.120 0.387 0.751 Dy
0.222 0.778 0.750 Dy
0.279 0.721 0.250 Dy
0.387 0.120 0.251 Dy
0.475 0.525 0.250 Dy
0.525 0.475 0.750 Dy
0.613 0.880 0.749 Dy
0.721 0.279 0.750 Dy
0.778 0.222 0.250 Dy
0.880 0.613 0.249 Dy
```

This entry pairs a crystal structure of La12PrDy3 with its simulated powder X-ray diffraction pattern. Radiation: Cu Kα (weighted mean of Kα1 and Kα2). Structure: a DFT-relaxed cell (PBE, Alexandria).

Peak list (8 most intense, 10° ≤ 2θ ≤ 90°, sorted by position)
Position (°2θ)	I/Imax
29.6	100
34.4	51
49.4	36
58.6	43
61.5	12
72.4	6
80.1	17
82.7	16

Crystal structure
```
La12PrDy3
1.0
5.219 0.000 0.000
0.000 5.219 0.000
0.000 0.000 20.897
La Pr Dy
12 1 3
Direct
0.000 0.000 0.000 La
0.000 0.000 0.248 La
0.000 0.000 0.500 La
0.000 0.000 0.752 La
0.000 0.500 0.124 La
0.000 0.500 0.373 La
0.000 0.500 0.627 La
0.000 0.500 0.876 La
0.500 0.000 0.124 La
0.500 0.000 0.373 La
0.500 0.000 0.627 La
0.500 0.000 0.876 La
0.500 0.500 0.500 Pr
0.500 0.500 0.000 Dy
0.500 0.500 0.248 Dy
0.500 0.500 0.752 Dy
```

This entry pairs a crystal structure of LaPrDy6 with its simulated powder X-ray diffraction pattern. Radiation: Cu Kα (weighted mean of Kα1 and Kα2). Structure: a DFT-relaxed cell (PBE, Alexandria).

Peak list (8 most intense, 10° ≤ 2θ ≤ 90°, sorted by position)
Position (°2θ)	I/Imax
30.5	100
35.3	51
50.8	36
60.4	43
63.4	12
74.7	6
82.8	18
85.5	17

Crystal structure
```
LaPrDy6
1.0
5.080 0.000 0.000
0.000 5.080 0.000
0.000 0.000 10.162
La Pr Dy
1 1 6
Direct
0.000 0.000 0.000 La
0.000 0.000 0.500 Pr
0.000 0.500 0.251 Dy
0.000 0.500 0.749 Dy
0.500 0.000 0.251 Dy
0.500 0.000 0.749 Dy
0.500 0.500 0.000 Dy
0.500 0.500 0.500 Dy
```

This entry pairs a crystal structure of LaPr6Dy8 with its simulated powder X-ray diffraction pattern. Radiation: Cu Kα (weighted mean of Kα1 and Kα2). Structure: a DFT-relaxed cell (PBE, Alexandria).

Peak list (8 most intense, 10° ≤ 2θ ≤ 90°, sorted by position)
Position (°2θ)	I/Imax
30.1	24
30.9	100
31.7	30
32.0	10
36.3	14
52.1	10
54.6	9
59.2	11

Crystal structure
```
LaPr6Dy8
1.0
4.583 2.646 7.048
-4.583 2.646 7.048
0.000 -5.292 7.048
La Pr Dy
1 6 8
Direct
0.000 0.000 0.000 La
0.100 0.231 0.536 Pr
0.231 0.536 0.100 Pr
0.464 0.900 0.769 Pr
0.536 0.100 0.231 Pr
0.769 0.464 0.900 Pr
0.900 0.769 0.464 Pr
0.113 0.752 0.713 Dy
0.248 0.287 0.887 Dy
0.287 0.887 0.248 Dy
0.423 0.423 0.423 Dy
0.577 0.577 0.577 Dy
0.713 0.113 0.752 Dy
0.752 0.713 0.113 Dy
0.887 0.248 0.287 Dy
```

This entry pairs a crystal structure of LaPr5Dy2 with its simulated powder X-ray diffraction pattern. Radiation: Cu Kα (weighted mean of Kα1 and Kα2). Structure: a DFT-relaxed cell (PBE, Alexandria).

Peak list (8 most intense, 10° ≤ 2θ ≤ 90°, sorted by position)
Position (°2θ)	I/Imax
28.9	16
29.8	65
30.6	100
31.2	43
31.5	41
45.0	27
56.0	20
59.8	30

Crystal structure
```
LaPr5Dy2
1.0
-1.821 5.731 6.796
1.821 -5.731 6.796
1.821 5.731 -6.796
La Pr Dy
1 5 2
Direct
0.000 0.000 0.000 La
0.137 0.368 0.769 Pr
0.402 0.632 0.769 Pr
0.500 0.000 0.500 Pr
0.598 0.368 0.231 Pr
0.863 0.632 0.231 Pr
0.243 0.743 0.500 Dy
0.757 0.257 0.500 Dy
```

This entry pairs a crystal structure of La2Pr6Dy3 with its simulated powder X-ray diffraction pattern. Radiation: Cu Kα (weighted mean of Kα1 and Kα2). Structure: a DFT-relaxed cell (PBE, Alexandria).

Peak list (8 most intense, 10° ≤ 2θ ≤ 90°, sorted by position)
Position (°2θ)	I/Imax
30.1	100
30.3	33
35.0	67
50.2	24
50.4	24
59.7	29
59.8	14
62.7	12

Crystal structure
```
La2Pr6Dy3
1.0
3.145 -5.456 0.000
3.145 5.456 0.000
-2.128 0.000 11.808
La Pr Dy
2 6 3
Direct
0.167 0.833 0.000 La
0.833 0.167 0.000 La
0.083 0.416 0.746 Pr
0.252 0.252 0.254 Pr
0.416 0.083 0.746 Pr
0.584 0.917 0.254 Pr
0.748 0.748 0.746 Pr
0.917 0.584 0.254 Pr
0.000 0.000 0.500 Dy
0.335 0.665 0.500 Dy
0.665 0.335 0.500 Dy
```

This entry pairs a crystal structure of La8Pr6Dy with its simulated powder X-ray diffraction pattern. Radiation: Cu Kα (weighted mean of Kα1 and Kα2). Structure: a DFT-relaxed cell (PBE, Alexandria).

Peak list (8 most intense, 10° ≤ 2θ ≤ 90°, sorted by position)
Position (°2θ)	I/Imax
28.6	100
29.0	23
33.3	50
34.0	19
34.1	14
47.5	20
48.1	17
57.1	13

Crystal structure
```
La8Pr6Dy
1.0
5.062 2.923 6.150
-5.062 2.923 6.150
0.000 -5.845 6.150
La Pr Dy
8 6 1
Direct
0.086 0.086 0.086 La
0.148 0.275 0.568 La
0.275 0.568 0.148 La
0.432 0.852 0.725 La
0.568 0.148 0.275 La
0.725 0.432 0.852 La
0.852 0.725 0.432 La
0.914 0.914 0.914 La
0.110 0.583 0.783 Pr
0.217 0.890 0.417 Pr
0.417 0.217 0.890 Pr
0.583 0.783 0.110 Pr
0.783 0.110 0.583 Pr
0.890 0.417 0.217 Pr
0.500 0.500 0.500 Dy
```